[1]
This entry pairs a crystal structure of Li3ZnIn2 with its calculated powder diffraction line list. Radiation: Cu Ka. Structure: a structure optimized by DFT (GGA-PBE).

Principal peaks in the range 10° ≤ 2θ ≤ 90°, low angle first:
index	2θ/deg	d [Å]	Rel. int.
1 3 0	23.6	3.765	61
1 2 1	25.6	3.477	100
1 4 1	33.1	2.707	38
0 0 2	33.4	2.687	25
0 2 2	35.5	2.531	22
2 1 1	35.9	2.500	42
0 6 0	36.1	2.491	32
1 1 2	37.4	2.405	19
0 4 2	41.4	2.183	25
2 5 1	47.0	1.934	25
1 8 1	54.4	1.687	14
3 3 2	62.3	1.490	21

```
data_Li3ZnIn2
_chemical_formula_sum 'Li12 Zn4 In8'
_cell_length_a 5.7510
_cell_length_b 14.9446
_cell_length_c 5.3799
_cell_angle_alpha 90.00
_cell_angle_beta 90.00
_cell_angle_gamma 90.00
_space_group_name_H-M_alt 'I b a m'
_space_group_IT_number 72
_space_group_name_Hall '-I 2 2c'
loop_
_atom_site_label
_atom_site_fract_x
_atom_site_fract_y
_atom_site_fract_z
Li1 0.0000 0.0000 0.2500
Li2 0.1625 0.3517 0.0000
Zn1 0.0000 0.5000 0.2500
In1 0.1674 0.1595 0.0000
```

[2]
This entry pairs a crystal structure of Li3Zn2In3 with its calculated powder diffraction line list. Radiation: Cu Ka. Structure: a structure optimized by DFT (GGA-PBE).

Principal peaks in the range 10° ≤ 2θ ≤ 90°, low angle first:
index	2θ/deg	d [Å]	Rel. int.
0 1 1	18.8	4.722	43
1 0 -1	25.2	3.538	28
1 1 1	26.3	3.395	27
1 3 0	28.8	3.104	34
1 2 1	29.3	3.051	24
0 4 1	34.5	2.600	28
2 0 0	36.8	2.442	45
1 4 1	39.3	2.295	100
1 0 -2	39.6	2.275	28
1 0 2	39.7	2.268	29
0 3 2	41.7	2.164	22
0 4 3	62.4	1.488	15

```
data_Li3Zn2In3
_chemical_formula_sum 'Li6 Zn4 In6'
_cell_length_a 4.8844
_cell_length_b 12.0628
_cell_length_c 5.1319
_cell_angle_alpha 90.00
_cell_angle_beta 90.21
_cell_angle_gamma 90.00
_space_group_name_H-M_alt 'P 1 21/m 1'
_space_group_IT_number 11
loop_
_space_group_symop_operation_xyz
'x,y,z'
'-x,-y,-z'
'-x,y+1/2,-z'
'x,-y+1/2,z'
loop_
_atom_site_label
_atom_site_fract_x
_atom_site_fract_y
_atom_site_fract_z
Li1 0.2428 0.2500 0.3191
Li2 0.2556 0.6241 0.8548
Zn1 0.2469 0.1370 0.8427
In1 0.2480 0.0100 0.3201
In2 0.2549 0.7500 0.3693
```